Calculated powder X-ray diffraction pattern of TbCe3C8 for Cu Kα X-rays, from a DFT-relaxed cell (GGA-PBE, Alexandria).
Kinematic intensities with the Lorentz-polarization factor, no thermal factor.

Top 12 peaks for 2θ from 15° to 90°, sorted by position:
- 3.409 Å, intensity 1000
- 3.162 Å, intensity 831
- 3.028 Å, intensity 897
- 2.603 Å, intensity 149
- 2.548 Å, intensity 353
- 2.293 Å, intensity 258
- 1.950 Å, intensity 545
- 1.856 Å, intensity 414
- 1.735 Å, intensity 236
- 1.704 Å, intensity 185
- 1.593 Å, intensity 131
- 1.250 Å, intensity 182

Structure:
```
data_TbCe3C8
_chemical_formula_sum 'Tb4 Ce12 C32'
_space_group_name_H-M_alt 'F m m 2'
_space_group_IT_number 42
_space_group_name_Hall 'F 2 -2'
_cell_length_a 9.171
_cell_length_b 10.193
_cell_length_c 8.065
_cell_angle_alpha 90.00
_cell_angle_beta 90.00
_cell_angle_gamma 90.00
loop_
_atom_site_label
_atom_site_fract_x
_atom_site_fract_y
_atom_site_fract_z
Tb1 0.000 0.000 0.000
Ce1 0.000 0.000 0.506
Ce2 0.250 0.250 0.199
C1 0.000 0.165 0.774
C2 0.000 0.239 0.908
C3 0.161 0.000 0.257
C4 0.246 0.000 0.633
```

Calculated powder X-ray diffraction pattern of BiH6F12 for Cu Kα X-rays, from a DFT-relaxed cell (GGA-PBE, Alexandria).
Kinematic intensities with the Lorentz-polarization factor, no thermal factor.

Top 12 peaks for 2θ from 15° to 90°, sorted by position:
- 5.188 Å, intensity 1000
- 3.914 Å, intensity 666
- 3.645 Å, intensity 546
- 3.125 Å, intensity 929
- 2.982 Å, intensity 233
- 2.586 Å, intensity 182
- 2.366 Å, intensity 291
- 2.113 Å, intensity 450
- 1.988 Å, intensity 297
- 1.960 Å, intensity 265
- 1.857 Å, intensity 183
- 1.831 Å, intensity 172

Structure:
```
data_BiH6F12
_chemical_formula_sum 'Bi3 H18 F36'
_space_group_name_H-M_alt 'R -3'
_space_group_IT_number 148
_space_group_name_Hall '-R 3'
_cell_length_a 10.3756
_cell_length_b 10.3756
_cell_length_c 7.9751
_cell_angle_alpha 90.00
_cell_angle_beta 90.00
_cell_angle_gamma 120.00
loop_
_atom_site_label
_atom_site_fract_x
_atom_site_fract_y
_atom_site_fract_z
Bi1 0.0000 0.0000 0.0000
H1 0.0354 0.2145 0.5007
F1 0.0489 0.1781 0.8480
F2 0.0734 0.8152 0.4952
```

Calculated powder X-ray diffraction pattern of CeDyHg4 for Cu Kα X-rays, from a DFT-relaxed cell (GGA-PBE, Alexandria).
Kinematic intensities with the Lorentz-polarization factor, no thermal factor.

Top 12 peaks for 2θ from 15° to 90°, sorted by position:
- 3.052 Å, intensity 690
- 2.709 Å, intensity 513
- 2.699 Å, intensity 1000
- 2.231 Å, intensity 591
- 2.026 Å, intensity 442
- 1.862 Å, intensity 329
- 1.562 Å, intensity 195
- 1.453 Å, intensity 154
- 1.445 Å, intensity 147
- 1.350 Å, intensity 115
- 1.335 Å, intensity 112
- 1.326 Å, intensity 111

Structure:
```
data_CeDyHg4
_chemical_formula_sum 'Ce1 Dy1 Hg4'
_space_group_name_H-M_alt 'P 1 m 1'
_space_group_IT_number 6
_space_group_name_Hall 'P -2y'
_cell_length_a 3.967
_cell_length_b 5.418
_cell_length_c 7.571
_cell_angle_alpha 90.00
_cell_angle_beta 104.01
_cell_angle_gamma 90.00
loop_
_atom_site_label
_atom_site_fract_x
_atom_site_fract_y
_atom_site_fract_z
Ce1 0.000 0.000 0.000
Dy1 0.004 0.500 0.498
Hg1 0.339 0.000 0.658
Hg2 0.367 0.500 0.167
Hg3 0.640 0.500 0.828
Hg4 0.662 0.000 0.342
```